This entry pairs a crystal structure of AlZn3O3 with its theoretical powder XRD pattern. Radiation: copper Kα. Structure: a DFT-relaxed cell (PBE, Alexandria).
Kinematic intensities with the Lorentz-polarization factor, no thermal factor.

Peak list (8 most intense, 10 to 80 degrees two-theta, sorted by position)
| index | two_theta | intensity |
| --- | --- | --- |
| 1 1 0 | 21.7 | 52.1 |
| 2 0 0 | 30.9 | 38.1 |
| 2 1 0 | 34.6 | 100.0 |
| 2 1 1 | 38.0 | 84.2 |
| 2 2 2 | 54.9 | 37.2 |
| 3 2 0 | 57.3 | 24.3 |
| 3 2 1 | 59.7 | 40.7 |
| 4 0 0 | 64.3 | 25.1 |

Structure:
Lattice parameters (Å, degrees): 5.795 5.795 5.795 90.00 90.00 90.00
Space group Pm-3n (No. 223)
Symmetry-distinct sites (fractional):
Al1 0.000 0.000 0.000
Zn1 0.000 0.250 0.500
O1 0.000 0.500 0.250